[1]
# PmZn2GaRu
Computed powder diffractogram, copper Kα. Input: the GGA-PBE geometry in Alexandria.
No peak broadening, texture or thermal motion is included.

Structural model:
Cell lengths 3.772, 4.256, 11.435 Å; angles 90.00, 90.00, 90.00 degrees
Atoms (fractional coordinates):
Pm 0.000 0.000 0.000
Pm 0.500 0.500 0.500
Zn 0.000 0.000 0.602
Zn 0.000 0.500 0.250
Zn 0.500 0.000 0.750
Zn 0.500 0.500 0.102
Ga 0.000 0.000 0.376
Ga 0.500 0.500 0.876
Ru 0.000 0.500 0.729
Ru 0.500 0.000 0.229

Largest 12 diffraction maxima, low angle first, 2θ = 10–90°:
d (Å)	I (rel.)
2.839	20
2.681	35
2.531	100
2.128	28
2.015	25
2.009	13
1.886	19
1.667	16
1.580	11
1.411	15
1.377	14
1.293	12


[2]
# Ca3In3Pt2
Computed powder diffractogram, copper Kα. Input: the GGA-PBE geometry in Alexandria.
No peak broadening, texture or thermal motion is included.

Structural model:
Cell lengths 8.171, 16.685, 5.910 Å; angles 90.00, 90.00, 90.00 degrees
Atoms (fractional coordinates):
Ca 0.036 0.110 0.102
Ca 0.036 0.390 0.102
Ca 0.170 0.250 0.647
Ca 0.330 0.750 0.147
Ca 0.464 0.610 0.602
Ca 0.464 0.890 0.602
Ca 0.536 0.110 0.398
Ca 0.536 0.390 0.398
Ca 0.670 0.250 0.853
Ca 0.830 0.750 0.353
Ca 0.964 0.610 0.898
Ca 0.964 0.890 0.898
In 0.165 0.750 0.644
In 0.180 0.036 0.601
In 0.180 0.464 0.601
In 0.320 0.536 0.101
In 0.320 0.964 0.101
In 0.335 0.250 0.144
In 0.665 0.750 0.856
In 0.680 0.036 0.899
In 0.680 0.464 0.899
In 0.820 0.536 0.399
In 0.820 0.964 0.399
In 0.835 0.250 0.356
Pt 0.115 0.614 0.393
Pt 0.115 0.886 0.393
Pt 0.385 0.114 0.893
Pt 0.385 0.386 0.893
Pt 0.615 0.614 0.107
Pt 0.615 0.886 0.107
Pt 0.885 0.114 0.607
Pt 0.885 0.386 0.607

Largest 12 diffraction maxima, low angle first, 2θ = 10–90°:
d (Å)	I (rel.)
4.788	100
4.603	44
4.050	73
3.968	49
2.739	55
2.617	96
2.486	75
2.474	57
2.313	87
2.134	54
2.059	44
1.633	35